(1)
The following is a computed XRD peak list of Ta2Sn2OsPt. It was derived from a cell relaxed with GGA-PBE, using CuKα.
Intensities are scaled so that the largest is 100.

Top 12 peaks for 10 to 80 degrees two-theta, low angle first:
hkl 1 1 2, d = 3.604 Å, 2θ 24.7, rel. 40; hkl 0 0 4, d = 3.121 Å, 2θ 28.6, rel. 7; hkl 2 0 4, d = 2.207 Å, 2θ 40.9, rel. 100; hkl 3 1 2, d = 1.884 Å, 2θ 48.3, rel. 13; hkl 1 1 6, d = 1.879 Å, 2θ 48.4, rel. 7; hkl 4 0 0, d = 1.562 Å, 2θ 59.1, rel. 11; hkl 0 0 8, d = 1.557 Å, 2θ 59.4, rel. 6; hkl 3 3 2, d = 1.433 Å, 2θ 65.1, rel. 3; hkl 3 1 6, d = 1.431 Å, 2θ 65.2, rel. 6; hkl 4 2 4, d = 1.275 Å, 2θ 74.4, rel. 23; hkl 2 2 8, d = 1.273 Å, 2θ 74.6, rel. 12; hkl 3 3 6, d = 1.202 Å, 2θ 79.8, rel. 5

Structural model:
Cell lengths 6.2492, 6.2492, 12.4559 Å; angles 90.00, 90.00, 90.00 degrees
Space group I-42d (No. 122)
One atom of each set of equivalent atoms:
Ta (0.2417, 0.7500, 0.1250) [8 per cell]
Sn (0.2490, 0.2500, 0.1250) [8 per cell]
Os (0.0000, 0.0000, 0.0000) [4 per cell]
Pt (0.0000, 0.0000, 0.5000) [4 per cell]

=====

(2)
The following is a computed XRD peak list of CsHoTeS. It was derived from a cell relaxed with GGA-PBE, using CuKα.
Intensities are scaled so that the largest is 100.

Top 12 peaks for 10 to 80 degrees two-theta, low angle first:
hkl 0 0 2, d = 8.516 Å, 2θ 10.4, rel. 29; hkl 0 0 4, d = 4.258 Å, 2θ 20.9, rel. 18; hkl 1 0 2, d = 3.400 Å, 2θ 26.2, rel. 85; hkl 1 0 3, d = 3.105 Å, 2θ 28.8, rel. 100; hkl 1 0 4, d = 2.796 Å, 2θ 32.0, rel. 37; hkl 1 0 6, d = 2.254 Å, 2θ 40.0, rel. 52; hkl 1 1 0, d = 2.141 Å, 2θ 42.2, rel. 57; hkl 2 0 3, d = 1.762 Å, 2θ 51.9, rel. 19; hkl 2 0 6, d = 1.552 Å, 2θ 59.6, rel. 16; hkl 2 1 3, d = 1.361 Å, 2θ 69.0, rel. 16; hkl 1 1 10, d = 1.332 Å, 2θ 70.7, rel. 16; hkl 2 1 6, d = 1.257 Å, 2θ 75.7, rel. 16

Structural model:
Cell lengths 4.2817, 4.2817, 17.0315 Å; angles 90.00, 90.00, 120.00 degrees
Space group P6_3mc (No. 186)
One atom of each set of equivalent atoms:
Cs (0.3333, 0.6667, 0.0000) [2 per cell]
Ho (0.0000, 0.0000, 0.2288) [2 per cell]
Te (0.3333, 0.6667, 0.3358) [2 per cell]
S (0.3333, 0.6667, 0.6506) [2 per cell]

=====

(3)
The following is a computed XRD peak list of YHg3Br6. It was derived from a cell relaxed with GGA-PBE, using CuKα.
Intensities are scaled so that the largest is 100.

Top 12 peaks for 10 to 80 degrees two-theta, low angle first:
hkl 2 2 0, d = 3.932 Å, 2θ 22.6, rel. 93; hkl 2 2 2, d = 3.210 Å, 2θ 27.8, rel. 51; hkl 4 0 0, d = 2.780 Å, 2θ 32.2, rel. 100; hkl 4 2 2, d = 2.270 Å, 2θ 39.7, rel. 46; hkl 4 4 0, d = 1.966 Å, 2θ 46.2, rel. 73; hkl 6 2 0, d = 1.758 Å, 2θ 52.0, rel. 21; hkl 6 2 2, d = 1.677 Å, 2θ 54.8, rel. 23; hkl 4 4 4, d = 1.605 Å, 2θ 57.4, rel. 25; hkl 6 4 2, d = 1.486 Å, 2θ 62.5, rel. 25; hkl 8 0 0, d = 1.390 Å, 2θ 67.4, rel. 12; hkl 8 2 2, d = 1.311 Å, 2θ 72.1, rel. 12; hkl 8 4 0, d = 1.243 Å, 2θ 76.6, rel. 33

Structural model:
Cell lengths 11.1208, 11.1208, 11.1208 Å; angles 90.00, 90.00, 90.00 degrees
Space group Fm-3m (No. 225)
One atom of each set of equivalent atoms:
Y (0.0000, 0.0000, 0.0000) [4 per cell]
Hg (0.0000, 0.0000, 0.5000) [4 per cell]
Hg (0.2500, 0.2500, 0.2500) [8 per cell]
Br (0.0000, 0.0000, 0.2492) [24 per cell]

=====

(4)
The following is a computed XRD peak list of LiW6CCl18. It was derived from a cell relaxed with GGA-PBE, using CuKα.
Intensities are scaled so that the largest is 100.

Top 12 peaks for 10 to 80 degrees two-theta, low angle first:
hkl 0 2 0, d = 8.723 Å, 2θ 10.1, rel. 23; hkl 1 0 -1, d = 8.012 Å, 2θ 11.0, rel. 15; hkl 1 1 -1, d = 7.282 Å, 2θ 12.2, rel. 100; hkl 1 2 0, d = 5.901 Å, 2θ 15.0, rel. 5; hkl 1 1 -2, d = 4.462 Å, 2θ 19.9, rel. 5; hkl 0 4 0, d = 4.362 Å, 2θ 20.4, rel. 5; hkl 1 5 -1, d = 3.199 Å, 2θ 27.9, rel. 10; hkl 1 7 -1, d = 2.380 Å, 2θ 37.8, rel. 5; hkl 4 1 -2, d = 2.284 Å, 2θ 39.4, rel. 5; hkl 2 6 1, d = 2.102 Å, 2θ 43.0, rel. 7; hkl 1 6 -3, d = 2.098 Å, 2θ 43.1, rel. 6; hkl 3 6 -2, d = 2.093 Å, 2θ 43.2, rel. 6

Structural model:
Cell lengths 9.2209, 17.4461, 9.2408 Å; angles 90.00, 119.51, 90.00 degrees
Space group P2_1/m (No. 11)
One atom of each set of equivalent atoms:
Li (0.0000, 0.0000, 0.0000) [2 per cell]
W (0.1861, 0.1652, 0.7028) [4 per cell]
W (0.2920, 0.1668, 0.4763) [4 per cell]
W (0.4762, 0.6676, 0.1785) [4 per cell]
C (0.3375, 0.2500, 0.6668) [2 per cell]
Cl (0.0169, 0.5959, 0.2444) [4 per cell]
Cl (0.0497, 0.7500, 0.4669) [2 per cell]
Cl (0.0684, 0.2500, 0.2829) [2 per cell]
Cl (0.0970, 0.0766, 0.4774) [4 per cell]
Cl (0.2099, 0.2500, 0.9244) [2 per cell]
Cl (0.2253, 0.5982, 0.9799) [4 per cell]
Cl (0.2464, 0.0970, 0.2267) [4 per cell]
Cl (0.2817, 0.7500, 0.2147) [2 per cell]
Cl (0.3792, 0.0765, 0.8995) [4 per cell]
Cl (0.4208, 0.7500, 0.9427) [2 per cell]
Cl (0.4717, 0.2500, 0.4165) [2 per cell]
Cl (0.4822, 0.5785, 0.3785) [4 per cell]

=====

(5)
The following is a computed XRD peak list of PrTeAuO. It was derived from a cell relaxed with GGA-PBE, using CuKα.
Intensities are scaled so that the largest is 100.

Top 12 peaks for 10 to 80 degrees two-theta, low angle first:
hkl 0 0 2, d = 5.040 Å, 2θ 17.6, rel. 30; hkl 1 1 2, d = 3.218 Å, 2θ 27.7, rel. 100; hkl 2 0 1, d = 2.837 Å, 2θ 31.5, rel. 59; hkl 2 1 0, d = 2.644 Å, 2θ 33.9, rel. 28; hkl 1 1 3, d = 2.619 Å, 2θ 34.2, rel. 67; hkl 2 1 1, d = 2.557 Å, 2θ 35.1, rel. 52; hkl 2 0 2, d = 2.550 Å, 2θ 35.2, rel. 70; hkl 2 1 2, d = 2.341 Å, 2θ 38.4, rel. 41; hkl 2 2 0, d = 2.090 Å, 2θ 43.3, rel. 49; hkl 2 1 3, d = 2.078 Å, 2θ 43.6, rel. 29; hkl 0 0 5, d = 2.016 Å, 2θ 45.0, rel. 29; hkl 3 1 2, d = 1.753 Å, 2θ 52.2, rel. 48

Structural model:
Cell lengths 5.9121, 5.9121, 10.0799 Å; angles 90.00, 90.00, 90.00 degrees
Space group P4bm (No. 100)
One atom of each set of equivalent atoms:
Pr (0.0000, 0.0000, 0.0000) [2 per cell]
Pr (0.0000, 0.5000, 0.2308) [2 per cell]
Te (0.0000, 0.0000, 0.4133) [2 per cell]
Te (0.0000, 0.5000, 0.8277) [2 per cell]
Au (0.1797, 0.3203, 0.6007) [4 per cell]
O (0.2492, 0.2508, 0.1175) [4 per cell]

=====

(6)
The following is a computed XRD peak list of AlH6PtW. It was derived from a cell relaxed with GGA-PBE, using CuKα.
Intensities are scaled so that the largest is 100.

Top 7 peaks for 10 to 80 degrees two-theta, low angle first:
hkl 1 1 1, d = 3.692 Å, 2θ 24.1, rel. 91; hkl 2 2 0, d = 2.261 Å, 2θ 39.9, rel. 100; hkl 3 1 1, d = 1.928 Å, 2θ 47.1, rel. 48; hkl 4 0 0, d = 1.599 Å, 2θ 57.7, rel. 18; hkl 3 3 1, d = 1.467 Å, 2θ 63.4, rel. 20; hkl 4 2 2, d = 1.305 Å, 2θ 72.4, rel. 35; hkl 3 3 3, d = 1.231 Å, 2θ 77.6, rel. 15

Structural model:
Cell lengths 6.3945, 6.3945, 6.3945 Å; angles 90.00, 90.00, 90.00 degrees
Space group F-43m (No. 216)
One atom of each set of equivalent atoms:
Al (0.0000, 0.0000, 0.0000) [4 per cell]
H (0.0432, 0.2500, 0.2500) [24 per cell]
Pt (0.2500, 0.2500, 0.7500) [4 per cell]
W (0.0000, 0.0000, 0.5000) [4 per cell]

=====

(7)
The following is a computed XRD peak list of Rb2NaPaOF5. It was derived from a cell relaxed with GGA-PBE, using CuKα.
Intensities are scaled so that the largest is 100.

Top 12 peaks for 10 to 80 degrees two-theta, low angle first:
hkl 1 0 1, d = 5.072 Å, 2θ 17.5, rel. 85; hkl 2 0 0, d = 3.114 Å, 2θ 28.7, rel. 49; hkl 1 1 2, d = 3.102 Å, 2θ 28.8, rel. 100; hkl 2 1 1, d = 2.653 Å, 2θ 33.8, rel. 37; hkl 1 0 3, d = 2.639 Å, 2θ 34.0, rel. 17; hkl 2 2 0, d = 2.202 Å, 2θ 41.0, rel. 37; hkl 0 0 4, d = 2.185 Å, 2θ 41.3, rel. 18; hkl 2 1 3, d = 2.013 Å, 2θ 45.0, rel. 17; hkl 3 1 2, d = 1.795 Å, 2θ 50.9, rel. 42; hkl 2 0 4, d = 1.789 Å, 2θ 51.1, rel. 20; hkl 2 2 4, d = 1.551 Å, 2θ 59.6, rel. 23; hkl 3 3 2, d = 1.392 Å, 2θ 67.3, rel. 19

Structural model:
Cell lengths 6.2272, 6.2272, 8.7404 Å; angles 90.00, 90.00, 90.00 degrees
Space group I4mm (No. 107)
One atom of each set of equivalent atoms:
Rb (0.0000, 0.5000, 0.0000) [4 per cell]
Na (0.0000, 0.0000, 0.2383) [2 per cell]
Pa (0.0000, 0.0000, 0.7557) [2 per cell]
O (0.0000, 0.0000, 0.9877) [2 per cell]
F (0.0000, 0.0000, 0.4921) [2 per cell]
F (0.2446, 0.2446, 0.2438) [8 per cell]

=====

(8)
The following is a computed XRD peak list of IrSeBr7. It was derived from a cell relaxed with GGA-PBE, using CuKα.
Intensities are scaled so that the largest is 100.

Top 12 peaks for 10 to 80 degrees two-theta, low angle first:
hkl 0 0 2, d = 7.679 Å, 2θ 11.5, rel. 30; hkl 1 0 0, d = 6.308 Å, 2θ 14.0, rel. 47; hkl 1 0 -2, d = 5.593 Å, 2θ 15.8, rel. 83; hkl 0 1 2, d = 5.046 Å, 2θ 17.6, rel. 53; hkl 1 1 -1, d = 4.631 Å, 2θ 19.2, rel. 37; hkl 1 1 0, d = 4.591 Å, 2θ 19.3, rel. 100; hkl 1 1 -2, d = 4.292 Å, 2θ 20.7, rel. 33; hkl 1 1 2, d = 3.663 Å, 2θ 24.3, rel. 48; hkl 1 1 3, d = 3.150 Å, 2θ 28.3, rel. 54; hkl 1 2 0, d = 2.957 Å, 2θ 30.2, rel. 46; hkl 2 1 0, d = 2.853 Å, 2θ 31.4, rel. 32; hkl 1 1 -5, d = 2.794 Å, 2θ 32.0, rel. 40

Structural model:
Cell lengths 6.5063, 6.6943, 15.8413 Å; angles 90.00, 104.20, 90.00 degrees
Space group Pc (No. 7)
One atom of each set of equivalent atoms:
Ir (0.0000, 0.0016, 0.0000) [2 per cell]
Se (0.2859, 0.4257, 0.1709) [2 per cell]
Br (0.1754, 0.4148, 0.7877) [2 per cell]
Br (0.2959, 0.2244, 0.0059) [2 per cell]
Br (0.5228, 0.3363, 0.6329) [2 per cell]
Br (0.5497, 0.2048, 0.2597) [2 per cell]
Br (0.8562, 0.0720, 0.8490) [2 per cell]
Br (0.8573, 0.3279, 0.4972) [2 per cell]
Br (0.9979, 0.0670, 0.1490) [2 per cell]

=====

Q: Which formula does entry 1 have?
A: Ta2Sn2OsPt

=====

Please write out number 2 again, unchanged.
The following is a computed XRD peak list of CsHoTeS. It was derived from a cell relaxed with GGA-PBE, using CuKα.
Intensities are scaled so that the largest is 100.

Top 12 peaks for 10 to 80 degrees two-theta, low angle first:
hkl 0 0 2, d = 8.516 Å, 2θ 10.4, rel. 29; hkl 0 0 4, d = 4.258 Å, 2θ 20.9, rel. 18; hkl 1 0 2, d = 3.400 Å, 2θ 26.2, rel. 85; hkl 1 0 3, d = 3.105 Å, 2θ 28.8, rel. 100; hkl 1 0 4, d = 2.796 Å, 2θ 32.0, rel. 37; hkl 1 0 6, d = 2.254 Å, 2θ 40.0, rel. 52; hkl 1 1 0, d = 2.141 Å, 2θ 42.2, rel. 57; hkl 2 0 3, d = 1.762 Å, 2θ 51.9, rel. 19; hkl 2 0 6, d = 1.552 Å, 2θ 59.6, rel. 16; hkl 2 1 3, d = 1.361 Å, 2θ 69.0, rel. 16; hkl 1 1 10, d = 1.332 Å, 2θ 70.7, rel. 16; hkl 2 1 6, d = 1.257 Å, 2θ 75.7, rel. 16

Structural model:
Cell lengths 4.2817, 4.2817, 17.0315 Å; angles 90.00, 90.00, 120.00 degrees
Space group P6_3mc (No. 186)
One atom of each set of equivalent atoms:
Cs (0.3333, 0.6667, 0.0000) [2 per cell]
Ho (0.0000, 0.0000, 0.2288) [2 per cell]
Te (0.3333, 0.6667, 0.3358) [2 per cell]
S (0.3333, 0.6667, 0.6506) [2 per cell]